Structure and simulated powder diffraction line list of FeAs2O7 (a PBE+U-relaxed structure; λ = 1.5418 Å (Cu Kα)).

Atomic structure:
```
FeAs2O7
1.0
3.407 -4.111 0.000
3.407 4.111 0.000
-1.098 0.000 4.710
Fe As O
1 2 7
Cartesian
0.000 0.000 0.000
1.318 1.234 2.788
4.399 1.234 1.922
1.620 2.774 3.426
0.725 0.093 3.926
4.097 2.774 1.284
2.858 0.447 2.355
1.859 -2.664 3.384
4.992 0.093 0.784
3.857 -2.664 1.326
```

Main lines, sorted by position (5 to 70 degrees two-theta):
2theta, d/Å, I (rel.)
17.2, 5.164, 33
21.6, 4.111, 78
27.8, 3.209, 100
28.8, 3.097, 86
29.2, 3.059, 82
34.7, 2.582, 34